The following is a calculated powder diffractogram of Pm4Pd4O11. It was derived from DFT lattice parameters and positions (GGA-PBE), using Cu Kα (weighted mean of Kα1 and Kα2).
Peak positions follow from Bragg's law for the DFT cell and can differ from measured ones.

Atomic structure:
a = 5.433 Å, b = 7.528 Å, c = 5.995 Å
α = 90.00°, β = 90.14°, γ = 90.00°
Fractional coordinates of all 19 atoms:
1 Pm 0.000 0.000 0.000
2 Pm 0.039 0.500 0.836
3 Pm 0.500 0.500 0.320
4 Pm 0.563 0.000 0.494
5 Pd 0.029 0.248 0.414
6 Pd 0.029 0.752 0.414
7 Pd 0.520 0.224 0.911
8 Pd 0.520 0.776 0.911
9 O 0.159 0.000 0.370
10 O 0.211 0.295 0.099
11 O 0.211 0.705 0.099
12 O 0.349 0.293 0.605
13 O 0.349 0.707 0.605
14 O 0.637 0.500 0.955
15 O 0.711 0.190 0.217
16 O 0.711 0.810 0.217
17 O 0.845 0.192 0.725
18 O 0.845 0.808 0.725
19 O 0.901 0.500 0.460

Main lines, sorted by position (15° ≤ 2θ ≤ 90°):
- 25.08°, d 3.550, I 213
- 29.80°, d 2.998, I 183
- 32.14°, d 2.785, I 141
- 32.56°, d 2.750, I 1000
- 32.97°, d 2.717, I 259
- 44.98°, d 2.015, I 84
- 48.36°, d 1.882, I 120
- 50.12°, d 1.820, I 145
- 58.62°, d 1.575, I 206
- 59.77°, d 1.547, I 103

The following is a calculated powder diffractogram of Tm3Mg3Ga2Pd. It was derived from DFT lattice parameters and positions (GGA-PBE), using Cu Kα (weighted mean of Kα1 and Kα2).
Peak positions follow from Bragg's law for the DFT cell and can differ from measured ones.

Atomic structure:
a = 7.277 Å, b = 7.277 Å, c = 4.247 Å
α = 90.00°, β = 90.00°, γ = 120.00°
Fractional coordinates of all 9 atoms:
1 Tm 0.000 0.414 0.000
2 Tm 0.414 0.000 0.000
3 Tm 0.586 0.586 0.000
4 Mg 0.000 0.757 0.500
5 Mg 0.243 0.243 0.500
6 Mg 0.757 0.000 0.500
7 Ga 0.333 0.667 0.500
8 Ga 0.667 0.333 0.500
9 Pd 0.000 0.000 0.000

Main lines, sorted by position (15° ≤ 2θ ≤ 90°):
- 20.92°, d 4.247, I 327
- 24.46°, d 3.639, I 333
- 28.32°, d 3.151, I 357
- 32.40°, d 2.763, I 831
- 35.47°, d 2.531, I 1000
- 37.77°, d 2.382, I 244
- 42.57°, d 2.124, I 245
- 43.06°, d 2.101, I 212
- 43.56°, d 2.078, I 214
- 56.97°, d 1.616, I 297

The following is a calculated powder diffractogram of Pa2Ga3Co4. It was derived from DFT lattice parameters and positions (GGA-PBE), using Cu Kα (weighted mean of Kα1 and Kα2).
Peak positions follow from Bragg's law for the DFT cell and can differ from measured ones.

Atomic structure:
a = 8.377 Å, b = 8.377 Å, c = 6.281 Å
α = 90.00°, β = 90.00°, γ = 141.26°
Fractional coordinates of all 18 atoms:
1 Pa 0.106 0.894 0.918
2 Pa 0.394 0.606 0.418
3 Pa 0.606 0.394 0.582
4 Pa 0.894 0.106 0.082
5 Ga 0.000 0.000 0.500
6 Ga 0.016 0.484 0.750
7 Ga 0.484 0.016 0.250
8 Ga 0.500 0.500 0.000
9 Ga 0.516 0.984 0.750
10 Ga 0.984 0.516 0.250
11 Co 0.160 0.840 0.542
12 Co 0.171 0.329 0.750
13 Co 0.329 0.171 0.250
14 Co 0.340 0.660 0.042
15 Co 0.660 0.340 0.958
16 Co 0.671 0.829 0.750
17 Co 0.829 0.671 0.250
18 Co 0.840 0.160 0.458

Main lines, sorted by position (15° ≤ 2θ ≤ 90°):
- 22.09°, d 4.025, I 377
- 22.50°, d 3.952, I 335
- 35.67°, d 2.517, I 1000
- 37.03°, d 2.427, I 580
- 37.17°, d 2.419, I 522
- 39.66°, d 2.273, I 373
- 43.49°, d 2.081, I 545
- 44.78°, d 2.024, I 459
- 52.56°, d 1.741, I 252
- 59.70°, d 1.549, I 229

The following is a calculated powder diffractogram of Rb3TaTe2S2. It was derived from DFT lattice parameters and positions (GGA-PBE), using Cu Kα (weighted mean of Kα1 and Kα2).
Peak positions follow from Bragg's law for the DFT cell and can differ from measured ones.

Atomic structure:
a = 7.749 Å, b = 7.217 Å, c = 8.544 Å
α = 58.17°, β = 52.31°, γ = 69.52°
Fractional coordinates of all 8 atoms:
1 Rb 0.000 0.000 0.000
2 Rb 0.116 0.116 0.384
3 Rb 0.616 0.616 0.884
4 Ta 0.530 0.530 0.470
5 Te 0.188 0.537 0.463
6 Te 0.537 0.188 0.812
7 S 0.517 0.840 0.483
8 S 0.840 0.517 0.160

Main lines, sorted by position (15° ≤ 2θ ≤ 90°):
- 15.54°, d 5.702, I 466
- 20.92°, d 4.246, I 345
- 24.54°, d 3.628, I 642
- 25.49°, d 3.495, I 580
- 29.15°, d 3.063, I 1000
- 31.37°, d 2.851, I 379
- 34.73°, d 2.583, I 270
- 45.64°, d 1.988, I 268
- 47.51°, d 1.914, I 263
- 54.47°, d 1.685, I 405

The following is a calculated powder diffractogram of InAg3GeO4. It was derived from DFT lattice parameters and positions (GGA-PBE), using Cu Kα (weighted mean of Kα1 and Kα2).
Peak positions follow from Bragg's law for the DFT cell and can differ from measured ones.

Atomic structure:
a = 5.217 Å, b = 5.217 Å, c = 5.217 Å
α = 90.00°, β = 90.00°, γ = 90.00°
Fractional coordinates of all 9 atoms:
1 In 0.000 0.000 0.000
2 Ag 0.000 0.500 0.500
3 Ag 0.500 0.000 0.500
4 Ag 0.500 0.500 0.000
5 Ge 0.500 0.500 0.500
6 O 0.233 0.233 0.233
7 O 0.233 0.767 0.767
8 O 0.767 0.233 0.767
9 O 0.767 0.767 0.233

Main lines, sorted by position (15° ≤ 2θ ≤ 90°):
- 16.99°, d 5.217, I 79
- 24.12°, d 3.689, I 109
- 29.66°, d 3.012, I 1000
- 34.38°, d 2.609, I 732
- 49.41°, d 1.845, I 808
- 58.69°, d 1.573, I 395
- 61.58°, d 1.506, I 180
- 72.46°, d 1.304, I 118
- 80.20°, d 1.197, I 156
- 82.73°, d 1.167, I 241

The following is a calculated powder diffractogram of YNb2CuGe2. It was derived from DFT lattice parameters and positions (GGA-PBE), using Cu Kα (weighted mean of Kα1 and Kα2).
Peak positions follow from Bragg's law for the DFT cell and can differ from measured ones.

Atomic structure:
a = 3.954 Å, b = 3.954 Å, c = 7.482 Å
α = 90.00°, β = 90.00°, γ = 90.00°
Fractional coordinates of all 6 atoms:
1 Y 0.000 0.000 0.000
2 Nb 0.000 0.500 0.372
3 Nb 0.500 0.000 0.372
4 Cu 0.500 0.500 0.668
5 Ge 0.000 0.000 0.629
6 Ge 0.500 0.500 0.109

Main lines, sorted by position (15° ≤ 2θ ≤ 90°):
- 32.96°, d 2.717, I 157
- 34.24°, d 2.619, I 764
- 36.01°, d 2.494, I 263
- 40.27°, d 2.239, I 1000
- 42.87°, d 2.109, I 134
- 45.91°, d 1.977, I 518
- 59.69°, d 1.549, I 231
- 66.91°, d 1.398, I 240
- 77.39°, d 1.233, I 134
- 81.10°, d 1.186, I 244

The following is a calculated powder diffractogram of Sc2GaTc. It was derived from DFT lattice parameters and positions (GGA-PBE), using Cu Kα (weighted mean of Kα1 and Kα2).
Peak positions follow from Bragg's law for the DFT cell and can differ from measured ones.

Atomic structure:
a = 4.650 Å, b = 13.952 Å, c = 6.581 Å
α = 90.00°, β = 90.00°, γ = 90.00°
Fractional coordinates of all 24 atoms:
1 Sc 0.000 0.000 0.250
2 Sc 0.000 0.000 0.750
3 Sc 0.001 0.333 0.250
4 Sc 0.001 0.333 0.750
5 Sc 0.499 0.833 0.250
6 Sc 0.499 0.833 0.750
7 Sc 0.500 0.500 0.250
8 Sc 0.500 0.500 0.750
9 Sc 0.501 0.167 0.250
10 Sc 0.501 0.167 0.750
11 Sc 0.999 0.667 0.250
12 Sc 0.999 0.667 0.750
13 Ga 0.000 0.500 0.000
14 Ga 0.002 0.167 0.000
15 Ga 0.498 0.667 0.500
16 Ga 0.500 0.000 0.500
17 Ga 0.502 0.333 0.500
18 Ga 0.998 0.833 0.000
19 Tc 0.000 0.167 0.500
20 Tc 0.000 0.500 0.500
21 Tc 0.000 0.833 0.500
22 Tc 0.500 0.000 0.000
23 Tc 0.500 0.333 0.000
24 Tc 0.500 0.667 0.000

Main lines, sorted by position (15° ≤ 2θ ≤ 90°):
- 23.42°, d 3.798, I 29
- 27.11°, d 3.289, I 131
- 38.72°, d 2.326, I 1000
- 45.74°, d 1.983, I 13
- 47.90°, d 1.899, I 40
- 55.91°, d 1.645, I 162
- 63.21°, d 1.471, I 54
- 70.08°, d 1.343, I 318
- 83.05°, d 1.163, I 98
- 89.36°, d 1.096, I 28

The following is a calculated powder diffractogram of Rb3Au2. It was derived from DFT lattice parameters and positions (GGA-PBE), using Cu Kα (weighted mean of Kα1 and Kα2).
Peak positions follow from Bragg's law for the DFT cell and can differ from measured ones.

Atomic structure:
a = 8.714 Å, b = 8.714 Å, c = 8.714 Å
α = 58.50°, β = 58.50°, γ = 58.50°
Fractional coordinates of all 10 atoms:
1 Rb 0.060 0.458 0.733
2 Rb 0.267 0.940 0.542
3 Rb 0.458 0.733 0.060
4 Rb 0.542 0.267 0.940
5 Rb 0.733 0.060 0.458
6 Rb 0.940 0.542 0.267
7 Au 0.000 0.000 0.000
8 Au 0.137 0.137 0.137
9 Au 0.500 0.500 0.500
10 Au 0.863 0.863 0.863

Main lines, sorted by position (15° ≤ 2θ ≤ 90°):
- 20.86°, d 4.258, I 649
- 24.29°, d 3.664, I 944
- 25.53°, d 3.489, I 276
- 32.58°, d 2.748, I 1000
- 35.43°, d 2.534, I 375
- 36.55°, d 2.458, I 849
- 46.86°, d 1.939, I 259
- 49.77°, d 1.832, I 282
- 56.45°, d 1.630, I 239
- 63.31°, d 1.469, I 247